Starting from a cell relaxed with PBE, the X-ray powder pattern of Pu3Pa2Tc4 was calculated for Cu Kα X-rays.
Neutral-atom scattering factors, no anomalous dispersion.

Cell and atoms:
Lattice parameters (Å, degrees): 4.8216 4.8216 8.8253 90.11 90.11 60.12
Fractional positions:
Pu 0.0000 0.0000 0.0000
Pu 0.3332 0.3332 0.4406
Pu 0.6668 0.6668 0.5594
Pa 0.3336 0.3336 0.7811
Pa 0.6664 0.6664 0.2189
Tc 0.9997 0.9997 0.3371
Tc 0.0003 0.0003 0.6629
Tc 0.3333 0.3333 0.1200
Tc 0.6667 0.6667 0.8800

Most intense lines, 2θ from 10° to 90°, sorted by position:
d = 3.776 Å, intensity 17
d = 3.034 Å, intensity 14
d = 2.412 Å, intensity 100
d = 2.405 Å, intensity 99
d = 1.703 Å, intensity 35
d = 1.393 Å, intensity 36
d = 1.389 Å, intensity 18
d = 1.387 Å, intensity 12
d = 1.205 Å, intensity 8
d = 1.204 Å, intensity 8